Record 1
Structure and simulated powder diffraction line list of ZrZnCuSn (a GGA-PBE-relaxed structure; Cu Kα (weighted mean of Kα1 and Kα2)).
Neutral-atom scattering factors, no anomalous dispersion.

Peak list (10 most intense, 10 to 90 degrees two-theta, by angle)
21.28 deg, rel. 5; 30.45 deg, rel. 4; 37.45 deg, rel. 100; 43.32 deg, rel. 33; 43.89 deg, rel. 16; 62.94 deg, rel. 11; 63.38 deg, rel. 21; 75.59 deg, rel. 25; 76.40 deg, rel. 12; 79.89 deg, rel. 11

Structural model:
Cell lengths 4.125, 4.174, 4.180 Å; angles 90.00, 90.00, 90.00 degrees
Positions (direct):
Zr1 0.000 0.000 0.000
Zn1 0.500 0.500 0.000
Cu1 0.000 0.500 0.500
Sn1 0.500 0.000 0.500



Record 2
Structure and simulated powder diffraction line list of CsNaThI6 (a GGA-PBE-relaxed structure; Cu Kα (weighted mean of Kα1 and Kα2)).
Neutral-atom scattering factors, no anomalous dispersion.

Peak list (10 most intense, 10 to 90 degrees two-theta, by angle)
10.40 deg, rel. 26; 13.42 deg, rel. 43; 16.19 deg, rel. 53; 23.95 deg, rel. 100; 30.16 deg, rel. 87; 34.81 deg, rel. 24; 37.71 deg, rel. 42; 38.51 deg, rel. 27; 47.02 deg, rel. 16; 49.02 deg, rel. 18

Structural model:
Cell lengths 8.263, 8.263, 17.012 Å; angles 90.00, 90.00, 120.00 degrees
Positions (direct):
Cs1 0.000 0.000 0.000
Cs2 0.000 0.000 0.500
Na1 0.333 0.667 0.250
Na2 0.667 0.333 0.750
Th1 0.333 0.667 0.750
Th2 0.667 0.333 0.250
I1 0.016 0.379 0.644
I2 0.016 0.638 0.856
I3 0.362 0.379 0.856
I4 0.362 0.984 0.644
I5 0.379 0.016 0.144
I6 0.379 0.362 0.356
I7 0.621 0.638 0.644
I8 0.621 0.984 0.856
I9 0.638 0.016 0.356
I10 0.638 0.621 0.144
I11 0.984 0.362 0.144
I12 0.984 0.621 0.356



Record 3
Structure and simulated powder diffraction line list of Ba2GaSbAu6 (a GGA-PBE-relaxed structure; Cu Kα (weighted mean of Kα1 and Kα2)).
Neutral-atom scattering factors, no anomalous dispersion.

Peak list (10 most intense, 10 to 90 degrees two-theta, by angle)
13.03 deg, rel. 35; 26.07 deg, rel. 33; 26.24 deg, rel. 31; 26.58 deg, rel. 39; 27.25 deg, rel. 39; 35.08 deg, rel. 100; 36.03 deg, rel. 77; 36.38 deg, rel. 95; 37.55 deg, rel. 39; 52.70 deg, rel. 30

Structural model:
Cell lengths 5.980, 7.220, 7.442 Å; angles 84.78, 66.40, 65.54 degrees
Positions (direct):
Ba1 0.041 0.217 0.201
Ba2 0.959 0.783 0.799
Ga1 0.500 0.000 0.500
Sb1 0.500 0.500 0.000
Au1 0.015 0.246 0.720
Au2 0.363 0.384 0.392
Au3 0.481 0.754 0.279
Au4 0.519 0.246 0.721
Au5 0.637 0.616 0.608
Au6 0.985 0.754 0.280



Record 4
Structure and simulated powder diffraction line list of Dy6Er2S3 (a GGA-PBE-relaxed structure; Cu Kα (weighted mean of Kα1 and Kα2)).
Neutral-atom scattering factors, no anomalous dispersion.

Peak list (10 most intense, 10 to 90 degrees two-theta, by angle)
28.93 deg, rel. 17; 29.34 deg, rel. 100; 30.25 deg, rel. 19; 30.78 deg, rel. 88; 32.60 deg, rel. 33; 34.00 deg, rel. 48; 36.33 deg, rel. 32; 48.83 deg, rel. 61; 52.18 deg, rel. 33; 58.00 deg, rel. 45

Structural model:
Cell lengths 24.440, 24.440, 24.440 Å; angles 8.75, 8.75, 8.75 degrees
Positions (direct):
Dy1 0.069 0.069 0.069
Dy2 0.186 0.186 0.186
Dy3 0.357 0.357 0.357
Dy4 0.643 0.643 0.643
Dy5 0.814 0.814 0.814
Dy6 0.931 0.931 0.931
Er1 0.442 0.442 0.442
Er2 0.558 0.558 0.558
S1 0.000 0.000 0.000
S2 0.287 0.287 0.287
S3 0.713 0.713 0.713



Record 5
Structure and simulated powder diffraction line list of Cd3Ag7Bi (a GGA-PBE-relaxed structure; Cu Kα (weighted mean of Kα1 and Kα2)).
Neutral-atom scattering factors, no anomalous dispersion.

Peak list (10 most intense, 10 to 90 degrees two-theta, by angle)
20.55 deg, rel. 22; 26.95 deg, rel. 21; 27.38 deg, rel. 26; 33.01 deg, rel. 52; 36.27 deg, rel. 67; 36.84 deg, rel. 100; 40.30 deg, rel. 37; 41.31 deg, rel. 33; 45.76 deg, rel. 30; 49.85 deg, rel. 23

Structural model:
Cell lengths 6.950, 6.950, 5.503 Å; angles 106.74, 106.74, 90.92 degrees
Positions (direct):
Cd1 0.000 0.000 0.000
Cd2 0.208 0.792 0.500
Cd3 0.792 0.208 0.500
Ag1 0.053 0.579 0.809
Ag2 0.211 0.211 0.533
Ag3 0.421 0.947 0.191
Ag4 0.500 0.500 0.500
Ag5 0.579 0.053 0.809
Ag6 0.789 0.789 0.467
Ag7 0.947 0.421 0.191
Bi1 0.500 0.500 0.000



Record 6
Structure and simulated powder diffraction line list of Sc2Ni6HRh (a GGA-PBE-relaxed structure; Cu Kα (weighted mean of Kα1 and Kα2)).
Neutral-atom scattering factors, no anomalous dispersion.

Peak list (10 most intense, 10 to 90 degrees two-theta, by angle)
22.71 deg, rel. 65; 38.50 deg, rel. 59; 40.23 deg, rel. 36; 41.00 deg, rel. 98; 43.03 deg, rel. 27; 44.01 deg, rel. 50; 45.36 deg, rel. 23; 46.20 deg, rel. 24; 46.39 deg, rel. 100; 49.27 deg, rel. 50

Structural model:
Cell lengths 4.865, 4.865, 6.643 Å; angles 111.52, 111.52, 62.92 degrees
Positions (direct):
Sc1 0.230 0.230 0.146
Sc2 0.770 0.770 0.854
Ni1 0.185 0.665 0.636
Ni2 0.199 0.199 0.709
Ni3 0.335 0.815 0.364
Ni4 0.665 0.185 0.636
Ni5 0.801 0.801 0.291
Ni6 0.815 0.335 0.364
H1 0.000 0.000 0.500
Rh1 0.500 0.500 0.000



Record 7
Structure and simulated powder diffraction line list of NdDyTm2Te6 (a GGA-PBE-relaxed structure; Cu Kα (weighted mean of Kα1 and Kα2)).
Neutral-atom scattering factors, no anomalous dispersion.

Peak list (10 most intense, 10 to 90 degrees two-theta, by angle)
15.70 deg, rel. 36; 21.51 deg, rel. 28; 26.35 deg, rel. 89; 31.71 deg, rel. 23; 34.57 deg, rel. 100; 40.45 deg, rel. 63; 45.39 deg, rel. 20; 54.24 deg, rel. 26; 68.08 deg, rel. 20; 69.80 deg, rel. 23

Structural model:
Cell lengths 8.304, 8.304, 8.304 Å; angles 55.43, 55.43, 55.43 degrees
Positions (direct):
Nd1 0.000 0.000 0.000
Dy1 0.497 0.497 0.497
Tm1 0.310 0.310 0.310
Tm2 0.812 0.812 0.812
Te1 0.084 0.700 0.422
Te2 0.212 0.580 0.910
Te3 0.422 0.084 0.700
Te4 0.580 0.910 0.212
Te5 0.700 0.422 0.084
Te6 0.910 0.212 0.580